1.
# LiNi9O13
Simulated powder diffraction line list, Cu Kα. Input: a structure optimized by DFT (PBE+U).

Principal peaks in the range 2θ from 10° to 80°, by intensity:
hkl 0 0 2, 11.1 deg, I = 100; hkl 0 1 -6, 35.9 deg, I = 48; hkl 0 1 5, 36.3 deg, I = 40; hkl 1 -2 3, 43.7 deg, I = 32; hkl 1 1 -2, 42.3 deg, I = 27; hkl 2 -1 0, 64.5 deg, I = 27; hkl 0 2 -1, 36.7 deg, I = 24; hkl 1 1 2, 44.9 deg, I = 20

Structure:
```
data_LiNi9O13
_chemical_formula_sum 'Li1 Ni9 O13'
_cell_length_a 2.887
_cell_length_b 5.103
_cell_length_c 16.109
_cell_angle_alpha 98.96
_cell_angle_beta 90.04
_cell_angle_gamma 106.39
_space_group_name_H-M_alt 'P 1'
_space_group_IT_number 1
loop_
_space_group_symop_operation_xyz
'x,y,z'
loop_
_atom_site_label
_atom_site_type_symbol
_atom_site_fract_x
_atom_site_fract_y
_atom_site_fract_z
Li1 Li 0.000 0.000 0.000
Ni1 Ni 0.146 0.289 0.355
Ni2 Ni 0.202 0.400 0.562
Ni3 Ni 0.219 0.436 0.896
Ni4 Ni 0.274 0.547 0.106
Ni5 Ni 0.460 0.918 0.809
Ni6 Ni 0.561 0.121 0.191
Ni7 Ni 0.707 0.411 0.727
Ni8 Ni 0.855 0.709 0.279
Ni9 Ni 0.956 0.908 0.641
O1 O 0.075 0.146 0.759
O2 O 0.084 0.165 0.456
O3 O 0.205 0.408 0.243
O4 O 0.333 0.664 0.685
O5 O 0.346 0.689 0.001
O6 O 0.505 0.012 0.306
O7 O 0.592 0.181 0.611
O8 O 0.593 0.183 0.915
O9 O 0.635 0.270 0.087
O10 O 0.774 0.545 0.382
O11 O 0.818 0.634 0.538
O12 O 0.826 0.649 0.841
O13 O 0.909 0.817 0.163
```


2.
# Li4Ni5O9
Simulated powder diffraction line list, Cu Kα. Input: a structure optimized by DFT (PBE+U).

Principal peaks in the range 2θ from 10° to 80°, by intensity:
hkl 1 0 -1, 18.7 deg, I = 100; hkl 3 1 1, 44.2 deg, I = 68; hkl 2 1 2, 36.5 deg, I = 42; hkl 1 2 -2, 44.3 deg, I = 34; hkl 2 3 1, 38.1 deg, I = 28; hkl -3 2 2, 64.1 deg, I = 28; hkl 2 -1 3, 64.5 deg, I = 19; hkl 3 3 0, 48.4 deg, I = 14

Structure:
```
data_Li4Ni5O9
_chemical_formula_sum 'Li8 Ni10 O18'
_cell_length_a 6.495
_cell_length_b 7.634
_cell_length_c 7.664
_cell_angle_alpha 64.65
_cell_angle_beta 85.57
_cell_angle_gamma 65.14
_space_group_name_H-M_alt 'P -1'
_space_group_IT_number 2
loop_
_space_group_symop_operation_xyz
'x,y,z'
'-x,-y,-z'
loop_
_atom_site_label
_atom_site_type_symbol
_atom_site_fract_x
_atom_site_fract_y
_atom_site_fract_z
Li1 Li 0.055 0.278 0.058
Li2 Li 0.163 0.837 0.165
Li3 Li 0.279 0.386 0.281
Li4 Li 0.390 0.944 0.391
Ni1 Ni 0.057 0.778 0.554
Ni2 Ni 0.167 0.334 0.670
Ni3 Ni 0.279 0.892 0.776
Ni4 Ni 0.391 0.448 0.886
Ni5 Ni 0.500 0.000 0.000
Ni6 Ni 0.500 0.500 0.500
O1 O 0.031 0.027 0.308
O2 O 0.073 0.525 0.793
O3 O 0.167 0.566 0.433
O4 O 0.184 0.099 0.909
O5 O 0.267 0.141 0.550
O6 O 0.291 0.638 0.005
O7 O 0.385 0.696 0.638
O8 O 0.415 0.181 0.134
O9 O 0.500 0.266 0.763
```


3.
# Li3Ni4O8
Simulated powder diffraction line list, Cu Kα. Input: a structure optimized by DFT (PBE+U).

Principal peaks in the range 2θ from 10° to 80°, by intensity:
hkl 1 1 0, 18.8 deg, I = 100; hkl 2 2 -2, 45.2 deg, I = 48; hkl 4 0 0, 42.9 deg, I = 29; hkl 2 0 -1, 19.0 deg, I = 21; hkl 2 2 -1, 36.9 deg, I = 16; hkl 2 0 1, 35.5 deg, I = 16; hkl 6 2 -2, 64.3 deg, I = 14; hkl 2 2 2, 63.7 deg, I = 14

Structure:
```
data_Li3Ni4O8
_chemical_formula_sum 'Li6 Ni8 O16'
_cell_length_a 10.100
_cell_length_b 5.712
_cell_length_c 5.648
_cell_angle_alpha 90.00
_cell_angle_beta 123.34
_cell_angle_gamma 90.00
_space_group_name_H-M_alt 'C 1 2/m 1'
_space_group_IT_number 12
loop_
_space_group_symop_operation_xyz
'x,y,z'
'-x,-y,-z'
'-x,y,-z'
'x,-y,z'
'x+1/2,y+1/2,z'
'-x+1/2,-y+1/2,-z'
'-x+1/2,y+1/2,-z'
'x+1/2,-y+1/2,z'
loop_
_atom_site_label
_atom_site_type_symbol
_atom_site_fract_x
_atom_site_fract_y
_atom_site_fract_z
Li1 Li 0.000 0.000 0.000
Li2 Li 0.250 0.250 0.500
Ni1 Ni 0.000 0.500 0.000
Ni2 Ni 0.000 0.500 0.500
Ni3 Ni 0.250 0.250 0.000
O1 O 0.001 0.279 0.755
O2 O 0.222 0.500 0.209
O3 O 0.247 0.000 0.219
```


4.
# LiNi2O3
Simulated powder diffraction line list, Cu Kα. Input: a structure optimized by DFT (PBE+U).

Principal peaks in the range 2θ from 10° to 80°, by intensity:
hkl 1 3 -3, 43.3 deg, I = 100; hkl 1 3 1, 37.5 deg, I = 72; hkl 0 0 2, 18.5 deg, I = 61; hkl 3 3 -1, 63.6 deg, I = 54; hkl 2 0 2, 44.2 deg, I = 47; hkl 1 3 -1, 35.7 deg, I = 19; hkl 1 1 0, 20.5 deg, I = 16; hkl 0 6 0, 62.8 deg, I = 14

Structure:
```
data_LiNi2O3
_chemical_formula_sum 'Li8 Ni16 O24'
_cell_length_a 5.050
_cell_length_b 8.876
_cell_length_c 9.752
_cell_angle_alpha 90.00
_cell_angle_beta 100.84
_cell_angle_gamma 90.00
_space_group_name_H-M_alt 'C 1 c 1'
_space_group_IT_number 9
loop_
_space_group_symop_operation_xyz
'x,y,z'
'x,-y,z+1/2'
'x+1/2,y+1/2,z'
'x+1/2,-y+1/2,z+1/2'
loop_
_atom_site_label
_atom_site_type_symbol
_atom_site_fract_x
_atom_site_fract_y
_atom_site_fract_z
Li1 Li 0.000 0.084 0.000
Li2 Li 0.497 0.245 0.002
Ni1 Ni 0.002 0.412 0.001
Ni2 Ni 0.250 0.083 0.751
Ni3 Ni 0.251 0.250 0.251
Ni4 Ni 0.252 0.416 0.750
O1 O 0.100 0.249 0.867
O2 O 0.126 0.097 0.365
O3 O 0.131 0.434 0.371
O4 O 0.363 0.402 0.135
O5 O 0.393 0.076 0.127
O6 O 0.393 0.256 0.638
```


5.
# LiNi9O13
Simulated powder diffraction line list, Cu Kα. Input: a structure optimized by DFT (PBE+U).

Principal peaks in the range 2θ from 10° to 80°, by intensity:
hkl 0 0 2, 11.1 deg, I = 100; hkl 0 1 5, 35.9 deg, I = 68; hkl 0 1 -6, 35.7 deg, I = 38; hkl -1 2 2, 44.5 deg, I = 36; hkl 1 1 -4, 45.5 deg, I = 35; hkl 0 1 -2, 19.6 deg, I = 33; hkl 0 2 -1, 36.1 deg, I = 32; hkl 1 0 -2, 33.7 deg, I = 29

Structure:
```
data_LiNi9O13
_chemical_formula_sum 'Li1 Ni9 O13'
_cell_length_a 2.889
_cell_length_b 5.187
_cell_length_c 16.172
_cell_angle_alpha 98.83
_cell_angle_beta 90.04
_cell_angle_gamma 106.16
_space_group_name_H-M_alt 'P 1'
_space_group_IT_number 1
loop_
_space_group_symop_operation_xyz
'x,y,z'
loop_
_atom_site_label
_atom_site_type_symbol
_atom_site_fract_x
_atom_site_fract_y
_atom_site_fract_z
Li1 Li 0.000 0.000 0.000
Ni1 Ni 0.061 0.127 0.201
Ni2 Ni 0.212 0.421 0.727
Ni3 Ni 0.304 0.614 0.120
Ni4 Ni 0.490 0.977 0.802
Ni5 Ni 0.570 0.143 0.362
Ni6 Ni 0.627 0.251 0.563
Ni7 Ni 0.681 0.365 0.925
Ni8 Ni 0.816 0.635 0.291
Ni9 Ni 0.913 0.825 0.636
O1 O 0.001 0.997 0.536
O2 O 0.151 0.303 0.839
O3 O 0.178 0.359 0.313
O4 O 0.206 0.417 0.002
O5 O 0.259 0.520 0.609
O6 O 0.450 0.903 0.253
O7 O 0.481 0.962 0.921
O8 O 0.563 0.122 0.678
O9 O 0.688 0.378 0.461
O10 O 0.700 0.405 0.168
O11 O 0.860 0.717 0.750
O12 O 0.923 0.853 0.100
O13 O 0.962 0.926 0.392
```


6.
# LiNiO2
Simulated powder diffraction line list, Cu Kα. Input: a structure optimized by DFT (PBE+U).

Principal peaks in the range 2θ from 10° to 80°, by intensity:
hkl 0 1 1, 18.8 deg, I = 100; hkl 2 2 4, 44.6 deg, I = 87; hkl 1 1 2, 21.9 deg, I = 54; hkl 0 2 -2, 43.8 deg, I = 45; hkl 1 2 1, 30.8 deg, I = 45; hkl 2 2 2, 36.6 deg, I = 28; hkl 2 0 6, 64.3 deg, I = 24; hkl 2 4 2, 64.2 deg, I = 24

Structure:
```
data_LiNiO2
_chemical_formula_sum 'Li8 Ni8 O16'
_cell_length_a 5.746
_cell_length_b 5.803
_cell_length_c 9.987
_cell_angle_alpha 73.90
_cell_angle_beta 73.28
_cell_angle_gamma 60.37
_space_group_name_H-M_alt 'P -1'
_space_group_IT_number 2
loop_
_space_group_symop_operation_xyz
'x,y,z'
'-x,-y,-z'
loop_
_atom_site_label
_atom_site_type_symbol
_atom_site_fract_x
_atom_site_fract_y
_atom_site_fract_z
Li1 Li 0.000 0.000 0.000
Li2 Li 0.238 0.754 0.249
Li3 Li 0.248 0.250 0.251
Li4 Li 0.256 0.263 0.743
Li5 Li 0.500 0.500 0.500
Ni1 Ni 0.000 0.000 0.500
Ni2 Ni 0.000 0.500 0.000
Ni3 Ni 0.000 0.500 0.500
Ni4 Ni 0.252 0.753 0.750
Ni5 Ni 0.500 0.000 0.000
Ni6 Ni 0.500 0.000 0.500
Ni7 Ni 0.500 0.500 0.000
O1 O 0.113 0.151 0.117
O2 O 0.120 0.654 0.621
O3 O 0.143 0.609 0.110
O4 O 0.153 0.123 0.620
O5 O 0.362 0.889 0.390
O6 O 0.385 0.843 0.885
O7 O 0.390 0.342 0.383
O8 O 0.397 0.373 0.882
```


7.
# LiNi3O4
Simulated powder diffraction line list, Cu Kα. Input: a structure optimized by DFT (PBE+U).

Principal peaks in the range 2θ from 10° to 80°, by intensity:
hkl 0 0 2, 37.4 deg, I = 100; hkl 0 0 1, 18.4 deg, I = 92; hkl 0 2 0, 43.3 deg, I = 81; hkl 2 0 -2, 43.4 deg, I = 79; hkl 2 -2 2, 43.6 deg, I = 78; hkl 2 2 -2, 62.9 deg, I = 45; hkl 2 0 2, 63.1 deg, I = 44; hkl 2 -2 0, 37.4 deg, I = 33

Structure:
```
data_LiNi3O4
_chemical_formula_sum 'Li2 Ni6 O8'
_cell_length_a 5.874
_cell_length_b 5.885
_cell_length_c 5.891
_cell_angle_alpha 119.79
_cell_angle_beta 90.31
_cell_angle_gamma 119.70
_space_group_name_H-M_alt 'P -1'
_space_group_IT_number 2
loop_
_space_group_symop_operation_xyz
'x,y,z'
'-x,-y,-z'
loop_
_atom_site_label
_atom_site_type_symbol
_atom_site_fract_x
_atom_site_fract_y
_atom_site_fract_z
Li1 Li 0.000 0.000 0.000
Li2 Li 0.500 0.000 0.000
Ni1 Ni 0.000 0.000 0.500
Ni2 Ni 0.000 0.500 0.000
Ni3 Ni 0.000 0.500 0.500
Ni4 Ni 0.500 0.000 0.500
Ni5 Ni 0.500 0.500 0.000
Ni6 Ni 0.500 0.500 0.500
O1 O 0.235 0.000 0.733
O2 O 0.239 0.001 0.275
O3 O 0.255 0.510 0.756
O4 O 0.256 0.511 0.256
```


8.
# Li2NiO2
Simulated powder diffraction line list, Cu Kα. Input: a structure optimized by DFT (PBE+U).

Principal peaks in the range 2θ from 10° to 80°, by intensity:
hkl 2 0 -1, 25.7 deg, I = 100; hkl 3 1 0, 43.7 deg, I = 33; hkl 2 0 0, 19.4 deg, I = 33; hkl 1 1 1, 44.8 deg, I = 24; hkl 2 0 -2, 48.6 deg, I = 13; hkl 3 1 1, 57.3 deg, I = 12; hkl 5 1 -1, 57.4 deg, I = 12; hkl 1 1 0, 33.2 deg, I = 12

Structure:
```
data_Li2NiO2
_chemical_formula_sum 'Li4 Ni2 O4'
_cell_length_a 9.888
_cell_length_b 2.823
_cell_length_c 3.749
_cell_angle_alpha 90.00
_cell_angle_beta 112.10
_cell_angle_gamma 90.00
_space_group_name_H-M_alt 'C 1 2/m 1'
_space_group_IT_number 12
loop_
_space_group_symop_operation_xyz
'x,y,z'
'-x,-y,-z'
'-x,y,-z'
'x,-y,z'
'x+1/2,y+1/2,z'
'-x+1/2,-y+1/2,-z'
'-x+1/2,y+1/2,-z'
'x+1/2,-y+1/2,z'
loop_
_atom_site_label
_atom_site_type_symbol
_atom_site_fract_x
_atom_site_fract_y
_atom_site_fract_z
Li1 Li 0.204 0.000 0.205
Ni1 Ni 0.000 0.500 0.500
O1 O 0.142 0.000 0.643
```


9.
# Li3Ni4O8
Simulated powder diffraction line list, Cu Kα. Input: a structure optimized by DFT (PBE+U).

Principal peaks in the range 2θ from 10° to 80°, by intensity:
hkl 1 1 0, 18.8 deg, I = 100; hkl 0 4 0, 43.1 deg, I = 38; hkl 0 0 2, 44.8 deg, I = 35; hkl 4 0 -2, 45.9 deg, I = 33; hkl 2 0 -1, 22.5 deg, I = 23; hkl 0 2 1, 30.7 deg, I = 21; hkl 0 0 1, 22.0 deg, I = 20; hkl 0 4 2, 63.9 deg, I = 20

Structure:
```
data_Li3Ni4O8
_chemical_formula_sum 'Li6 Ni8 O16'
_cell_length_a 7.914
_cell_length_b 8.403
_cell_length_c 5.616
_cell_angle_alpha 90.00
_cell_angle_beta 133.91
_cell_angle_gamma 90.00
_space_group_name_H-M_alt 'C 1 2/m 1'
_space_group_IT_number 12
loop_
_space_group_symop_operation_xyz
'x,y,z'
'-x,-y,-z'
'-x,y,-z'
'x,-y,z'
'x+1/2,y+1/2,z'
'-x+1/2,-y+1/2,-z'
'-x+1/2,y+1/2,-z'
'x+1/2,-y+1/2,z'
loop_
_atom_site_label
_atom_site_type_symbol
_atom_site_fract_x
_atom_site_fract_y
_atom_site_fract_z
Li1 Li 0.000 0.000 0.000
Li2 Li 0.250 0.250 0.000
Ni1 Ni 0.000 0.500 0.000
Ni2 Ni 0.000 0.500 0.500
Ni3 Ni 0.250 0.250 0.500
O1 O 0.000 0.273 0.000
O2 O 0.000 0.277 0.500
O3 O 0.222 0.500 0.469
O4 O 0.223 0.500 0.965
```


10.
# LiNiO2
Simulated powder diffraction line list, Cu Kα. Input: a structure optimized by DFT (PBE+U).

Principal peaks in the range 2θ from 10° to 80°, by intensity:
hkl 1 1 0, 24.5 deg, I = 100; hkl 0 0 2, 24.2 deg, I = 49; hkl 2 0 -2, 24.3 deg, I = 49; hkl 4 0 0, 43.3 deg, I = 47; hkl 2 0 -4, 44.3 deg, I = 46; hkl 0 2 0, 44.9 deg, I = 45; hkl 2 2 -4, 64.9 deg, I = 25; hkl 4 2 0, 64.1 deg, I = 25

Structure:
```
data_LiNiO2
_chemical_formula_sum 'Li8 Ni8 O16'
_cell_length_a 9.278
_cell_length_b 4.041
_cell_length_c 8.178
_cell_angle_alpha 90.00
_cell_angle_beta 115.80
_cell_angle_gamma 90.00
_space_group_name_H-M_alt 'C 1 2/m 1'
_space_group_IT_number 12
loop_
_space_group_symop_operation_xyz
'x,y,z'
'-x,-y,-z'
'-x,y,-z'
'x,-y,z'
'x+1/2,y+1/2,z'
'-x+1/2,-y+1/2,-z'
'-x+1/2,y+1/2,-z'
'x+1/2,-y+1/2,z'
loop_
_atom_site_label
_atom_site_type_symbol
_atom_site_fract_x
_atom_site_fract_y
_atom_site_fract_z
Li1 Li 0.122 0.000 0.188
Li2 Li 0.135 0.000 0.691
Ni1 Ni 0.122 0.500 0.437
Ni2 Ni 0.125 0.500 0.937
O1 O 0.105 0.500 0.664
O2 O 0.108 0.500 0.195
O3 O 0.142 0.000 0.945
O4 O 0.151 0.000 0.451
```


11.
# Li2NiO2
Simulated powder diffraction line list, Cu Kα. Input: a structure optimized by DFT (PBE+U).

Principal peaks in the range 2θ from 10° to 80°, by intensity:
hkl 0 1 1, 37.6 deg, I = 100; hkl 0 0 1, 17.4 deg, I = 93; hkl 0 1 2, 49.1 deg, I = 61; hkl 1 0 0, 33.1 deg, I = 27; hkl 1 1 0, 59.1 deg, I = 27; hkl 1 0 3, 64.9 deg, I = 18; hkl 1 1 1, 62.1 deg, I = 16; hkl 2 0 1, 72.2 deg, I = 12

Structure:
```
data_Li2NiO2
_chemical_formula_sum 'Li2 Ni1 O2'
_cell_length_a 3.1277
_cell_length_b 3.1277
_cell_length_c 5.0864
_cell_angle_alpha 90.00
_cell_angle_beta 90.00
_cell_angle_gamma 120.00
_space_group_name_H-M_alt 'P -3 m 1'
_space_group_IT_number 164
_space_group_name_Hall '-P 3 2"'
loop_
_atom_site_label
_atom_site_type_symbol
_atom_site_fract_x
_atom_site_fract_y
_atom_site_fract_z
Li1 Li 0.3333 0.6667 0.1417
Ni1 Ni 0.0000 0.0000 0.5000
O1 O 0.3333 0.6667 0.7339
```